No. 1
OsN2Cl6: theoretical X-ray powder pattern (λ = 1.5418 Å (Cu Kα)), based on the PBE geometry in the Materials Project.
Kinematic intensities with the Lorentz-polarization factor, no thermal factor.

Structural model:
Unit cell a=6.9155 b=6.9155 c=6.9155 alpha=60.00 beta=60.00 gamma=60.00
Positions (direct):
Os 0.0000 0.0000 0.0000
N 0.2500 0.2500 0.2500
N 0.7500 0.7500 0.7500
Cl 0.2342 0.2342 0.7658
Cl 0.2342 0.7658 0.2342
Cl 0.2342 0.7658 0.7658
Cl 0.7658 0.2342 0.2342
Cl 0.7658 0.2342 0.7658
Cl 0.7658 0.7658 0.2342

The 10 most intense peaks (10° ≤ 2θ ≤ 80°), low angle first:
| 2θ (°) | d/Å | I/Imax |
| --- | --- | --- |
| 15.7 | 5.647 | 100 |
| 18.1 | 4.890 | 68 |
| 25.8 | 3.458 | 22 |
| 30.3 | 2.949 | 46 |
| 36.8 | 2.445 | 37 |
| 41.3 | 2.187 | 32 |
| 48.4 | 1.882 | 23 |
| 53.0 | 1.729 | 23 |
| 55.6 | 1.653 | 22 |
| 56.5 | 1.630 | 16 |

No. 2
CeMg14Mn: theoretical X-ray powder pattern (λ = 1.5418 Å (Cu Kα)), based on the PBE geometry in the Materials Project.
Kinematic intensities with the Lorentz-polarization factor, no thermal factor.

Structural model:
Unit cell a=10.2663 b=6.4743 c=6.4743 alpha=56.27 beta=90.00 gamma=90.00
Positions (direct):
Ce 0.0000 0.0000 0.0000
Mg 0.0000 0.0055 0.4938
Mg 0.0000 0.4938 0.0055
Mg 0.2311 0.6429 0.6429
Mg 0.2530 0.1522 0.6457
Mg 0.2530 0.6457 0.1522
Mg 0.2621 0.1542 0.1542
Mg 0.5000 0.4923 0.4923
Mg 0.5000 0.4942 0.9870
Mg 0.5000 0.9870 0.4942
Mg 0.5000 0.9894 0.9894
Mg 0.7379 0.1542 0.1542
Mg 0.7470 0.1522 0.6457
Mg 0.7470 0.6457 0.1522
Mg 0.7689 0.6429 0.6429
Mn 0.0000 0.4807 0.4807

The 10 most intense peaks (10° ≤ 2θ ≤ 80°), low angle first:
| 2θ (°) | d/Å | I/Imax |
| --- | --- | --- |
| 15.5 | 5.709 | 22 |
| 17.8 | 4.990 | 31 |
| 33.3 | 2.692 | 37 |
| 35.0 | 2.567 | 43 |
| 36.0 | 2.495 | 70 |
| 37.7 | 2.384 | 100 |
| 49.0 | 1.858 | 24 |
| 57.0 | 1.615 | 19 |
| 64.5 | 1.444 | 18 |
| 68.7 | 1.367 | 20 |

No. 3
BiPd6Se: theoretical X-ray powder pattern (λ = 1.5418 Å (Cu Kα)), based on the PBE geometry in the Materials Project.
Kinematic intensities with the Lorentz-polarization factor, no thermal factor.

Structural model:
Unit cell a=7.9296 b=7.9296 c=7.9296 alpha=33.70 beta=33.70 gamma=33.70
Positions (direct):
Bi 0.0000 0.0000 0.0000
Pd 0.1325 0.1325 0.1325
Pd 0.2564 0.2564 0.2564
Pd 0.3850 0.3850 0.3850
Pd 0.6150 0.6150 0.6150
Pd 0.7436 0.7436 0.7436
Pd 0.8675 0.8675 0.8675
Se 0.5000 0.5000 0.5000

The 10 most intense peaks (10° ≤ 2θ ≤ 80°), low angle first:
| 2θ (°) | d/Å | I/Imax |
| --- | --- | --- |
| 11.8 | 7.472 | 6 |
| 30.0 | 2.977 | 6 |
| 36.0 | 2.495 | 14 |
| 39.2 | 2.299 | 100 |
| 39.3 | 2.291 | 88 |
| 54.3 | 1.691 | 5 |
| 56.7 | 1.623 | 30 |
| 71.1 | 1.326 | 47 |
| 71.4 | 1.322 | 10 |
| 76.0 | 1.253 | 9 |

No. 4
UP2H2CO9: theoretical X-ray powder pattern (λ = 1.5418 Å (Cu Kα)), based on the PBE geometry in the Materials Project.
Kinematic intensities with the Lorentz-polarization factor, no thermal factor.

Structural model:
Unit cell a=18.7132 b=8.2122 c=5.7213 alpha=90.00 beta=90.00 gamma=90.00
Positions (direct):
U 0.1068 0.2424 0.0000
U 0.3932 0.7424 0.5000
U 0.6068 0.2576 0.0000
U 0.8932 0.7576 0.5000
P 0.0687 0.8362 0.7752
P 0.2274 0.9211 0.7925
P 0.2726 0.4211 0.2925
P 0.4313 0.3362 0.2752
P 0.5687 0.6638 0.7752
P 0.7274 0.5789 0.7925
P 0.7726 0.0789 0.2925
P 0.9313 0.1638 0.2752
H 0.1570 0.8222 0.4700
H 0.1703 0.6704 0.6887
H 0.3297 0.1704 0.1887
H 0.3430 0.3222 0.9700
H 0.6570 0.6778 0.4700
H 0.6703 0.8296 0.6887
H 0.8297 0.3296 0.1887
H 0.8430 0.1778 0.9700
C 0.1575 0.7996 0.6596
C 0.3425 0.2996 0.1596
C 0.6575 0.7004 0.6596
C 0.8425 0.2004 0.1596
O 0.0150 0.7538 0.6104
O 0.0582 0.7575 0.0185
O 0.0589 0.0214 0.7994
O 0.0941 0.4746 0.2560
O 0.0948 0.3828 0.7610
O 0.1211 0.1143 0.2512
O 0.2041 0.1011 0.8160
O 0.2068 0.3981 0.1339
O 0.2404 0.8746 0.0498
O 0.2596 0.3746 0.5498
O 0.2932 0.8981 0.6339
O 0.2959 0.6011 0.3160
O 0.3789 0.6143 0.7512
O 0.4052 0.8828 0.2610
O 0.4059 0.9746 0.7560
O 0.4411 0.5214 0.2994
O 0.4418 0.2575 0.5185
O 0.4850 0.2538 0.1104
O 0.5150 0.7462 0.6104
O 0.5582 0.7425 0.0185
O 0.5589 0.4786 0.7994
O 0.5941 0.0254 0.2560
O 0.5948 0.1172 0.7610
O 0.6211 0.3857 0.2512
O 0.7041 0.3989 0.8160
O 0.7068 0.1019 0.1339
O 0.7404 0.6254 0.0498
O 0.7596 0.1254 0.5498
O 0.7932 0.6019 0.6339
O 0.7959 0.8989 0.3160
O 0.8789 0.8857 0.7512
O 0.9052 0.6172 0.2610
O 0.9059 0.5254 0.7560
O 0.9411 0.9786 0.2994
O 0.9418 0.2425 0.5185
O 0.9850 0.2462 0.1104

The 10 most intense peaks (10° ≤ 2θ ≤ 80°), low angle first:
| 2θ (°) | d/Å | I/Imax |
| --- | --- | --- |
| 14.4 | 6.172 | 100 |
| 18.2 | 4.881 | 91 |
| 18.9 | 4.691 | 94 |
| 21.6 | 4.106 | 24 |
| 26.9 | 3.314 | 50 |
| 28.4 | 3.142 | 49 |
| 30.7 | 2.916 | 20 |
| 34.6 | 2.596 | 32 |
| 43.2 | 2.096 | 20 |
| 47.0 | 1.935 | 21 |